Entry 1:
Computed X-ray powder pattern of Ac2Pm6Dy5 for Cu Kα (weighted mean of Kα1 and Kα2), from a cell relaxed with GGA-PBE.
Kinematic intensities with the Lorentz-polarization factor, no thermal factor.

Structure:
Cell lengths 12.064, 20.611, 3.699 Å; angles 90.00, 90.00, 90.00 degrees
Fractional coordinates of all 26 atoms:
Ac  0.163  0.220  0.000
Ac  0.337  0.720  0.000
Ac  0.663  0.280  0.000
Ac  0.837  0.780  0.000
Pm  0.058  0.924  0.000
Pm  0.076  0.637  0.000
Pm  0.181  0.380  0.500
Pm  0.319  0.880  0.500
Pm  0.424  0.137  0.000
Pm  0.442  0.424  0.000
Pm  0.558  0.576  0.000
Pm  0.576  0.863  0.000
Pm  0.681  0.120  0.500
Pm  0.819  0.620  0.500
Pm  0.924  0.363  0.000
Pm  0.942  0.076  0.000
Dy  0.000  0.500  0.500
Dy  0.098  0.781  0.500
Dy  0.201  0.054  0.500
Dy  0.299  0.554  0.500
Dy  0.402  0.281  0.500
Dy  0.500  0.000  0.500
Dy  0.598  0.719  0.500
Dy  0.701  0.446  0.500
Dy  0.799  0.946  0.500
Dy  0.902  0.219  0.500

Main lines, by angle (2θ = 10–90°):
- 29.94 deg, 2.984 Å, I 34.6
- 30.66 deg, 2.916 Å, I 27.5
- 30.89 deg, 2.895 Å, I 12.0
- 31.07 deg, 2.879 Å, I 16.3
- 31.23 deg, 2.864 Å, I 100.0
- 33.31 deg, 2.690 Å, I 20.0
- 35.47 deg, 2.531 Å, I 15.5
- 49.27 deg, 1.849 Å, I 13.5
- 51.31 deg, 1.781 Å, I 11.8
- 58.74 deg, 1.572 Å, I 11.9

Entry 2:
Computed X-ray powder pattern of AcPm6Dy12 for Cu Kα (weighted mean of Kα1 and Kα2), from a cell relaxed with GGA-PBE.
Kinematic intensities with the Lorentz-polarization factor, no thermal factor.

Structure:
Cell lengths 8.792, 8.792, 8.792 Å; angles 99.03, 99.03, 99.03 degrees
Fractional coordinates of all 19 atoms:
Ac  0.000  0.000  0.000
Pm  0.102  0.102  0.652
Pm  0.102  0.652  0.102
Pm  0.348  0.898  0.898
Pm  0.652  0.102  0.102
Pm  0.898  0.348  0.898
Pm  0.898  0.898  0.348
Dy  0.081  0.356  0.356
Dy  0.242  0.500  0.758
Dy  0.242  0.758  0.500
Dy  0.356  0.081  0.356
Dy  0.356  0.356  0.081
Dy  0.500  0.242  0.758
Dy  0.500  0.758  0.242
Dy  0.644  0.644  0.919
Dy  0.644  0.919  0.644
Dy  0.758  0.242  0.500
Dy  0.758  0.500  0.242
Dy  0.919  0.644  0.644

Main lines, by angle (2θ = 10–90°):
- 28.68 deg, 3.113 Å, I 34.7
- 29.36 deg, 3.042 Å, I 56.8
- 31.25 deg, 2.862 Å, I 66.4
- 31.46 deg, 2.844 Å, I 60.6
- 31.71 deg, 2.822 Å, I 100.0
- 34.07 deg, 2.631 Å, I 46.0
- 34.27 deg, 2.617 Å, I 35.4
- 34.49 deg, 2.600 Å, I 28.5
- 54.92 deg, 1.672 Å, I 31.2
- 56.45 deg, 1.630 Å, I 32.7